1.
The following is a calculated powder diffractogram of TbGa6Ni. It was derived from a crystal structure in OQMD, relaxed with GGA-PBE, using a wavelength of 1.5418 Å.
No peak broadening, texture or thermal motion is included.

Principal peaks in the range 2θ from 5° to 70°, in order of rising 2θ:
26.7 deg, d = 3.335 Å, rel. 16; 33.0 deg, d = 2.713 Å, rel. 29; 39.5 deg, d = 2.283 Å, rel. 100; 42.8 deg, d = 2.114 Å, rel. 19; 44.2 deg, d = 2.051 Å, rel. 6; 50.5 deg, d = 1.809 Å, rel. 4; 55.1 deg, d = 1.668 Å, rel. 13; 59.0 deg, d = 1.566 Å, rel. 16; 63.2 deg, d = 1.472 Å, rel. 4; 65.9 deg, d = 1.418 Å, rel. 4

```
TbGa6Ni
1.0
6.2649 0.0000 0.0000
-3.1324 5.4255 0.0000
0.0000 0.0000 4.2283
Tb Ga Ni
1 6 1
direct
0.0000 0.0000 0.0000
0.0404 0.5202 0.0000
0.3791 0.1895 0.5000
0.4798 0.5202 0.0000
0.4798 0.9596 0.0000
0.8105 0.1895 0.5000
0.8105 0.6209 0.5000
0.3333 0.6667 0.5000
```

2.
The following is a calculated powder diffractogram of ZnMo4C3. It was derived from a crystal structure in OQMD, relaxed with GGA-PBE, using a wavelength of 1.5418 Å.
No peak broadening, texture or thermal motion is included.

Principal peaks in the range 2θ from 5° to 70°, in order of rising 2θ:
33.6 deg, d = 2.669 Å, rel. 27; 34.3 deg, d = 2.618 Å, rel. 22; 35.3 deg, d = 2.540 Å, rel. 10; 36.8 deg, d = 2.441 Å, rel. 54; 38.5 deg, d = 2.338 Å, rel. 44; 38.7 deg, d = 2.329 Å, rel. 83; 40.8 deg, d = 2.212 Å, rel. 100; 55.1 deg, d = 1.667 Å, rel. 19; 59.6 deg, d = 1.551 Å, rel. 49; 69.7 deg, d = 1.348 Å, rel. 9

```
ZnMo4C3
1.0
3.1019 0.0000 0.0000
-1.5509 2.6863 0.0000
0.0000 0.0000 23.3824
Zn Mo C
2 8 6
direct
0.3333 0.6667 0.2500
0.6667 0.3333 0.7500
0.0000 0.0000 0.1544
0.0000 0.0000 0.3456
0.0000 0.0000 0.6544
0.0000 0.0000 0.8456
0.3333 0.6667 0.0564
0.3333 0.6667 0.4436
0.6667 0.3333 0.5564
0.6667 0.3333 0.9436
0.0000 0.0000 0.0000
0.0000 0.0000 0.5000
0.3333 0.6667 0.6108
0.3333 0.6667 0.8892
0.6667 0.3333 0.1108
0.6667 0.3333 0.3892
```

3.
The following is a calculated powder diffractogram of LuScFe2Ge2C. It was derived from a crystal structure in OQMD, relaxed with GGA-PBE, using a wavelength of 1.5418 Å.
No peak broadening, texture or thermal motion is included.

Principal peaks in the range 2θ from 5° to 70°, in order of rising 2θ:
17.1 deg, d = 5.198 Å, rel. 40; 26.7 deg, d = 3.333 Å, rel. 40; 34.4 deg, d = 2.607 Å, rel. 46; 34.8 deg, d = 2.578 Å, rel. 63; 35.7 deg, d = 2.516 Å, rel. 45; 37.3 deg, d = 2.408 Å, rel. 100; 37.7 deg, d = 2.385 Å, rel. 40; 40.3 deg, d = 2.240 Å, rel. 80; 42.9 deg, d = 2.106 Å, rel. 45; 47.0 deg, d = 1.933 Å, rel. 48

```
LuScFe2Ge2C
1.0
5.2168 -1.9331 0.0000
5.2168 1.9331 0.0000
-4.0278 0.0000 5.1978
Lu Sc Fe Ge C
1 1 2 2 1
direct
0.0000 0.0000 0.0000
0.8870 0.8870 0.4318
0.2439 0.2439 0.6216
0.6410 0.6410 0.8069
0.2854 0.2854 0.0209
0.6012 0.6012 0.4129
0.4411 0.4411 0.7083
```

4.
The following is a calculated powder diffractogram of DyErNi2B2N2. It was derived from a crystal structure in OQMD, relaxed with GGA-PBE, using a wavelength of 1.5418 Å.
No peak broadening, texture or thermal motion is included.

Principal peaks in the range 2θ from 5° to 70°, in order of rising 2θ:
28.3 deg, d = 3.154 Å, rel. 100; 35.2 deg, d = 2.549 Å, rel. 68; 35.9 deg, d = 2.499 Å, rel. 48; 36.6 deg, d = 2.458 Å, rel. 24; 38.5 deg, d = 2.336 Å, rel. 67; 44.1 deg, d = 2.056 Å, rel. 47; 52.7 deg, d = 1.738 Å, rel. 36; 60.8 deg, d = 1.522 Å, rel. 26; 64.9 deg, d = 1.436 Å, rel. 24; 65.4 deg, d = 1.427 Å, rel. 32

```
DyErNi2B2N2
1.0
3.4768 0.0000 0.0000
0.0000 3.4768 0.0000
0.0000 0.0000 7.4960
Dy Er Ni B N
1 1 2 2 2
direct
0.0000 0.0000 0.0000
0.5000 0.5000 0.6655
0.0000 0.5000 0.3329
0.5000 0.0000 0.3329
0.0000 0.0000 0.4936
0.5000 0.5000 0.1703
0.0000 0.0000 0.6885
0.5000 0.5000 0.9749
```

5.
The following is a calculated powder diffractogram of Sc11Os4. It was derived from a crystal structure in OQMD, relaxed with GGA-PBE, using a wavelength of 1.5418 Å.
No peak broadening, texture or thermal motion is included.

Principal peaks in the range 2θ from 5° to 70°, in order of rising 2θ:
23.2 deg, d = 3.841 Å, rel. 81; 26.8 deg, d = 3.327 Å, rel. 31; 35.0 deg, d = 2.561 Å, rel. 10; 38.3 deg, d = 2.352 Å, rel. 100; 45.2 deg, d = 2.006 Å, rel. 55; 47.3 deg, d = 1.921 Å, rel. 10; 55.2 deg, d = 1.663 Å, rel. 14; 60.7 deg, d = 1.526 Å, rel. 22; 62.4 deg, d = 1.488 Å, rel. 16; 69.2 deg, d = 1.358 Å, rel. 24

```
Sc11Os4
1.0
0.0000 6.6534 6.6534
6.6534 0.0000 6.6534
6.6534 6.6534 0.0000
Sc Os
22 8
direct
0.1483 0.6172 0.6172
0.1556 0.1556 0.1556
0.1556 0.1556 0.5332
0.1556 0.5332 0.1556
0.1994 0.1994 0.8006
0.1994 0.8006 0.1994
0.1994 0.8006 0.8006
0.3828 0.3828 0.3828
0.3828 0.3828 0.8517
0.3828 0.8517 0.3828
0.4668 0.8444 0.8444
0.5332 0.1556 0.1556
0.6172 0.1483 0.6172
0.6172 0.6172 0.1483
0.6172 0.6172 0.6172
0.8006 0.1994 0.1994
0.8006 0.1994 0.8006
0.8006 0.8006 0.1994
0.8444 0.4668 0.8444
0.8444 0.8444 0.4668
0.8444 0.8444 0.8444
0.8517 0.3828 0.3828
0.0000 0.0000 0.0000
0.0000 0.0000 0.5000
0.0000 0.5000 0.0000
0.0000 0.5000 0.5000
0.5000 0.0000 0.0000
0.5000 0.0000 0.5000
0.5000 0.5000 0.0000
0.5000 0.5000 0.5000
```

6.
The following is a calculated powder diffractogram of GdHo2Mg4In2. It was derived from a crystal structure in OQMD, relaxed with GGA-PBE, using a wavelength of 1.5418 Å.
No peak broadening, texture or thermal motion is included.

Principal peaks in the range 2θ from 5° to 70°, in order of rising 2θ:
13.5 deg, d = 6.561 Å, rel. 59; 30.4 deg, d = 2.938 Å, rel. 100; 33.3 deg, d = 2.687 Å, rel. 35; 33.5 deg, d = 2.679 Å, rel. 72; 36.2 deg, d = 2.483 Å, rel. 22; 38.7 deg, d = 2.329 Å, rel. 26; 41.1 deg, d = 2.194 Å, rel. 15; 54.0 deg, d = 1.699 Å, rel. 23; 54.1 deg, d = 1.695 Å, rel. 15; 64.9 deg, d = 1.436 Å, rel. 20

```
GdHo2Mg4In2
1.0
4.6571 0.0000 0.0000
0.0000 6.5801 3.7752
0.0000 -6.5801 3.7752
Gd Ho Mg In
1 2 4 2
direct
0.0000 0.0000 0.0000
0.0000 0.4342 0.8706
0.0000 0.8706 0.4342
0.0000 0.4381 0.4381
0.5000 0.1925 0.4353
0.5000 0.4353 0.1925
0.5000 0.6788 0.6788
0.5000 0.1018 0.7664
0.5000 0.7664 0.1018
```

7.
The following is a calculated powder diffractogram of Ho4Mg3Fe2. It was derived from a crystal structure in OQMD, relaxed with GGA-PBE, using a wavelength of 1.5418 Å.
No peak broadening, texture or thermal motion is included.

Principal peaks in the range 2θ from 5° to 70°, in order of rising 2θ:
11.6 deg, d = 7.632 Å, rel. 32; 13.9 deg, d = 6.350 Å, rel. 42; 23.3 deg, d = 3.816 Å, rel. 45; 23.7 deg, d = 3.746 Å, rel. 52; 24.1 deg, d = 3.694 Å, rel. 51; 31.6 deg, d = 2.835 Å, rel. 42; 33.5 deg, d = 2.673 Å, rel. 88; 34.1 deg, d = 2.630 Å, rel. 100; 39.9 deg, d = 2.261 Å, rel. 50; 41.1 deg, d = 2.194 Å, rel. 29

```
Ho4Mg3Fe2
1.0
7.4449 0.0000 0.0000
0.0000 3.7464 0.0000
-2.7734 0.0000 7.6320
Ho Mg Fe
4 3 2
direct
0.0947 0.0000 0.2258
0.3924 0.0000 0.6828
0.6076 0.0000 0.3172
0.9053 0.0000 0.7742
0.0000 0.5000 0.5000
0.2912 0.5000 0.0028
0.7088 0.5000 0.9972
0.3599 0.5000 0.3997
0.6401 0.5000 0.6003
```

8.
The following is a calculated powder diffractogram of TbSmBr2NCl. It was derived from a crystal structure in OQMD, relaxed with GGA-PBE, using a wavelength of 1.5418 Å.
No peak broadening, texture or thermal motion is included.

Principal peaks in the range 2θ from 5° to 70°, in order of rising 2θ:
9.4 deg, d = 9.410 Å, rel. 100; 10.6 deg, d = 8.354 Å, rel. 84; 26.5 deg, d = 3.358 Å, rel. 93; 28.0 deg, d = 3.181 Å, rel. 50; 32.2 deg, d = 2.779 Å, rel. 46; 32.3 deg, d = 2.769 Å, rel. 74; 32.7 deg, d = 2.737 Å, rel. 50; 34.6 deg, d = 2.594 Å, rel. 47; 36.6 deg, d = 2.457 Å, rel. 41; 43.7 deg, d = 2.070 Å, rel. 35

```
TbSmBr2NCl
1.0
8.6662 -1.9651 0.0000
8.6662 1.9651 0.0000
-6.0690 0.0000 9.4097
Tb Sm Br N Cl
2 2 4 2 2
direct
0.0795 0.0795 0.4572
0.9205 0.9205 0.5428
0.3617 0.3617 0.2073
0.6383 0.6383 0.7927
0.2754 0.2754 0.3793
0.4549 0.4549 0.7593
0.5451 0.5451 0.2407
0.7246 0.7246 0.6207
0.0744 0.0744 0.6542
0.9256 0.9256 0.3458
0.1689 0.1689 0.0088
0.8311 0.8311 0.9912
```

Copy entry 7 word for word.
The following is a calculated powder diffractogram of Ho4Mg3Fe2. It was derived from a crystal structure in OQMD, relaxed with GGA-PBE, using a wavelength of 1.5418 Å.
No peak broadening, texture or thermal motion is included.

Principal peaks in the range 2θ from 5° to 70°, in order of rising 2θ:
11.6 deg, d = 7.632 Å, rel. 32; 13.9 deg, d = 6.350 Å, rel. 42; 23.3 deg, d = 3.816 Å, rel. 45; 23.7 deg, d = 3.746 Å, rel. 52; 24.1 deg, d = 3.694 Å, rel. 51; 31.6 deg, d = 2.835 Å, rel. 42; 33.5 deg, d = 2.673 Å, rel. 88; 34.1 deg, d = 2.630 Å, rel. 100; 39.9 deg, d = 2.261 Å, rel. 50; 41.1 deg, d = 2.194 Å, rel. 29

```
Ho4Mg3Fe2
1.0
7.4449 0.0000 0.0000
0.0000 3.7464 0.0000
-2.7734 0.0000 7.6320
Ho Mg Fe
4 3 2
direct
0.0947 0.0000 0.2258
0.3924 0.0000 0.6828
0.6076 0.0000 0.3172
0.9053 0.0000 0.7742
0.0000 0.5000 0.5000
0.2912 0.5000 0.0028
0.7088 0.5000 0.9972
0.3599 0.5000 0.3997
0.6401 0.5000 0.6003
```